Diffraction record for Sm2NiGe3Pt4. The powder diffraction line list is simulated, not measured: it uses DFT lattice parameters and positions (GGA-PBE) and copper Kα.
Lines closer than 0.1° are merged.

Peak list (12 most intense, 2θ from 10° to 90°, low angle first)
h k l  d (Å)  intensity
0 0 3  3.427  16.1
1 1 1  2.895  32.6
1 0 3  2.672  55.8
1 1 2  2.602  100.0
2 0 0  2.133  70.3
1 1 4  1.957  34.6
1 0 5  1.852  25.6
2 1 3  1.667  27.3
2 2 0  1.509  23.4
2 1 5  1.399  20.4
3 1 2  1.305  23.1
2 0 8  1.101  15.3

Crystal structure
abc: 4.267 4.267 10.281
angles: 90.00 90.00 90.00
Positions (direct):
1 Sm 0.000 0.500 0.237
2 Sm 0.500 0.000 0.763
3 Ni 0.500 0.500 0.000
4 Ge 0.000 0.000 0.000
5 Ge 0.000 0.500 0.634
6 Ge 0.500 0.000 0.366
7 Pt 0.000 0.000 0.500
8 Pt 0.000 0.500 0.870
9 Pt 0.500 0.000 0.130
10 Pt 0.500 0.500 0.500